MgAlH4O2F5: calculated powder diffraction line list (Cu Kα), based on a crystal structure in Alexandria, relaxed with GGA-PBE.

Structural model:
a b c (Å): 7.1409 7.1409 7.1409
angles (deg): 119.45 86.18 125.09
Fractional coordinates of all 26 atoms:
Mg 0.0000 0.0000 0.0000
Mg 0.5000 0.0000 0.5000
Al 0.5000 0.0000 0.0000
Al 0.5000 0.5000 0.5000
H 0.0279 0.5135 0.2981
H 0.0279 0.7298 0.5143
H 0.2845 0.2702 0.7981
H 0.2845 0.4865 0.0143
H 0.7155 0.5135 0.9857
H 0.7155 0.7298 0.2019
H 0.9721 0.2702 0.4857
H 0.9721 0.4865 0.7019
O 0.1332 0.7066 0.4266
O 0.2200 0.2934 0.9266
O 0.7800 0.7066 0.0734
O 0.8668 0.2934 0.5734
F 0.1873 0.2668 0.3321
F 0.1873 0.8552 0.9205
F 0.4281 0.6781 0.7500
F 0.4347 0.2668 0.5795
F 0.4347 0.8552 0.1679
F 0.5653 0.1448 0.8321
F 0.5653 0.7332 0.4205
F 0.5719 0.3219 0.2500
F 0.8127 0.1448 0.0795
F 0.8127 0.7332 0.6679

Largest 10 diffraction maxima, in order of falling intensity, 10° ≤ 2θ ≤ 90°:
- 2θ 15.92, I 100
- 2θ 29.05, I 34
- 2θ 29.55, I 31
- 2θ 51.41, I 29
- 2θ 30.17, I 25
- 2θ 25.05, I 19
- 2θ 43.09, I 18
- 2θ 49.09, I 17
- 2θ 18.26, I 16
- 2θ 42.82, I 16

=====

AlH4NF4: calculated powder diffraction line list (Cu Kα), based on a crystal structure in Alexandria, relaxed with GGA-PBE.

Structural model:
a b c (Å): 5.1168 5.1168 12.9082
angles (deg): 90.00 90.00 90.00
Fractional coordinates of all 40 atoms:
Al 0.0000 0.5000 0.0000
Al 0.0000 0.5000 0.5000
Al 0.5000 0.0000 0.0000
Al 0.5000 0.0000 0.5000
H 0.0014 0.1662 0.2039
H 0.0014 0.1662 0.7961
H 0.1662 0.9986 0.2961
H 0.1662 0.9986 0.7039
H 0.3338 0.4986 0.2961
H 0.3338 0.4986 0.7039
H 0.4986 0.6662 0.2039
H 0.4986 0.6662 0.7961
H 0.5014 0.3338 0.2039
H 0.5014 0.3338 0.7961
H 0.6662 0.5014 0.2961
H 0.6662 0.5014 0.7039
H 0.8338 0.0014 0.2961
H 0.8338 0.0014 0.7039
H 0.9986 0.8338 0.2039
H 0.9986 0.8338 0.7961
N 0.0000 0.0000 0.2500
N 0.0000 0.0000 0.7500
N 0.5000 0.5000 0.2500
N 0.5000 0.5000 0.7500
F 0.0000 0.5000 0.1393
F 0.0000 0.5000 0.3607
F 0.0000 0.5000 0.6393
F 0.0000 0.5000 0.8607
F 0.2036 0.2040 0.0000
F 0.2040 0.7964 0.5000
F 0.2960 0.2964 0.5000
F 0.2964 0.7040 0.0000
F 0.5000 0.0000 0.1393
F 0.5000 0.0000 0.3607
F 0.5000 0.0000 0.6393
F 0.5000 0.0000 0.8607
F 0.7036 0.2960 0.0000
F 0.7040 0.7036 0.5000
F 0.7960 0.2036 0.5000
F 0.7964 0.7960 0.0000

Largest 10 diffraction maxima, in order of falling intensity, 10° ≤ 2θ ≤ 90°:
- 2θ 13.72, I 100
- 2θ 24.60, I 69
- 2θ 28.28, I 50
- 2θ 50.45, I 40
- 2θ 35.07, I 29
- 2θ 49.28, I 26
- 2θ 27.64, I 26
- 2θ 56.91, I 20
- 2θ 42.00, I 19
- 2θ 73.19, I 19